For MnAlAg2F6, the GGA+U geometry in Alexandria gives the theoretical powder diffractogram in this record (a wavelength of 1.5418 Å).

Most intense lines, 2θ = 10–90°, by intensity:
2theta  d [Å]  I/Imax
31.2  2.868  100
44.8  2.025  33
65.0  1.434  23
55.4  1.657  22
38.4  2.344  20
31.3  2.856  20
38.5  2.336  19
21.9  4.054  18

```
data_MnAlAg2F6
_chemical_formula_sum 'Mn2 Al2 Ag4 F12'
_space_group_name_H-M_alt 'P m m n'
_space_group_IT_number 59
_cell_length_a 5.7420
_cell_length_b 8.1227
_cell_length_c 5.7123
_cell_angle_alpha 90.00
_cell_angle_beta 90.00
_cell_angle_gamma 90.00
loop_
_space_group_symop_operation_xyz
'x,y,z'
'-x,-y,-z'
'-x+1/2,-y+1/2,z'
'x+1/2,y+1/2,-z'
'x+1/2,-y,-z'
'-x+1/2,y,z'
'-x,y+1/2,-z'
'x,-y+1/2,z'
loop_
_atom_site_label
_atom_site_type_symbol
_atom_site_fract_x
_atom_site_fract_y
_atom_site_fract_z
Mn1 Mn 0.2500 0.2500 0.2462
Al1 Al 0.2500 0.7500 0.2575
Ag1 Ag 0.2500 0.0005 0.7591
F1 F 0.0213 0.7500 0.4854
F2 F 0.0221 0.7500 0.0267
F3 F 0.2500 0.5215 0.2597
```